Calculated powder XRD pattern
Compound: Tb6YTh4
Radiation: Cu Kα, 1.54184 Å
Structure: a structure optimized by DFT (PBE)

Crystal structure
```
data_Tb6YTh4
_chemical_formula_sum 'Tb12 Y2 Th8'
_symmetry_space_group_name_H-M 'I m m m'
_symmetry_Int_Tables_number 71
_symmetry_space_group_name_Hall '-I 2 2'
_cell_length_a 3.441
_cell_length_b 5.865
_cell_length_c 35.761
_cell_angle_alpha 90.00
_cell_angle_beta 90.00
_cell_angle_gamma 90.00
loop_
_atom_site_label
_atom_site_type_symbol
_atom_site_fract_x
_atom_site_fract_y
_atom_site_fract_z
Tb1 Tb 0.000 0.000 0.096
Tb2 Tb 0.000 0.000 0.267
Tb3 Tb 0.000 0.000 0.369
Y1 Y 0.000 0.500 0.500
Th1 Th 0.000 0.500 0.044
Th2 Th 0.000 0.500 0.318
```

Largest 10 diffraction maxima, low angle first, 10 to 80 degrees two-theta:
2θ (°), I (rel.), h k l
16.85, 16, 0 1 3
26.97, 35, 1 0 3
28.79, 17, 1 0 5
30.49, 68, 0 2 0
31.46, 100, 0 1 11
33.74, 38, 1 1 6
36.34, 50, 1 1 8
41.15, 24, 1 2 3
54.79, 21, 0 3 11
63.17, 28, 2 1 11

***

Calculated powder XRD pattern
Compound: TbY6Th2
Radiation: Cu Kα, 1.54184 Å
Structure: a structure optimized by DFT (PBE)

Crystal structure
```
data_TbY6Th2
_chemical_formula_sum 'Tb1 Y6 Th2'
_symmetry_space_group_name_H-M 'P -6 m 2'
_symmetry_Int_Tables_number 187
_symmetry_space_group_name_Hall 'P -6 2'
_cell_length_a 3.5892
_cell_length_b 3.5892
_cell_length_c 26.3615
_cell_angle_alpha 90.00
_cell_angle_beta 90.00
_cell_angle_gamma 120.00
loop_
_atom_site_label
_atom_site_type_symbol
_atom_site_fract_x
_atom_site_fract_y
_atom_site_fract_z
Tb1 Tb 0.0000 0.0000 0.0000
Y1 Y 0.0000 0.0000 0.2173
Y2 Y 0.0000 0.0000 0.4367
Y3 Y 0.3333 0.6667 0.1088
Th1 Th 0.3333 0.6667 0.3292
```

Largest 10 diffraction maxima, low angle first, 10 to 80 degrees two-theta:
2θ (°), I (rel.), h k l
10.07, 57, 0 0 3
28.72, 49, 1 0 0
29.53, 21, 1 0 2
30.51, 83, 0 0 9
31.83, 65, 1 0 4
33.47, 100, 1 0 5
42.40, 32, 1 0 9
50.88, 46, 1 1 0
57.20, 31, 1 0 14
60.50, 51, 1 1 9

***

Calculated powder XRD pattern
Compound: TbY3Th5
Radiation: Cu Kα, 1.54184 Å
Structure: a structure optimized by DFT (PBE)

Crystal structure
```
data_TbY3Th5
_chemical_formula_sum 'Tb4 Y12 Th20'
_symmetry_space_group_name_H-M 'I 4/m c m'
_symmetry_Int_Tables_number 140
_symmetry_space_group_name_Hall '-I 4 2c'
_cell_length_a 9.235
_cell_length_b 9.235
_cell_length_c 14.227
_cell_angle_alpha 90.00
_cell_angle_beta 90.00
_cell_angle_gamma 90.00
loop_
_atom_site_label
_atom_site_type_symbol
_atom_site_fract_x
_atom_site_fract_y
_atom_site_fract_z
Tb1 Tb 0.000 0.500 0.250
Y1 Y 0.000 0.000 0.250
Y2 Y 0.104 0.396 0.000
Th1 Th 0.000 0.000 0.000
Th2 Th 0.208 0.292 0.373
```

Largest 10 diffraction maxima, low angle first, 10 to 80 degrees two-theta:
2θ (°), I (rel.), h k l
27.31, 58, 2 2 0
28.66, 29, 2 1 3
31.76, 100, 2 0 4
33.16, 12, 3 1 2
35.61, 13, 3 2 1
38.42, 11, 2 1 5
40.78, 21, 4 1 1
44.75, 12, 4 1 3
51.15, 21, 4 2 4
59.16, 14, 2 2 8

***

Calculated powder XRD pattern
Compound: TbY7Th3
Radiation: Cu Kα, 1.54184 Å
Structure: a structure optimized by DFT (PBE)

Crystal structure
```
data_TbY7Th3
_chemical_formula_sum 'Tb1 Y7 Th3'
_symmetry_space_group_name_H-M 'P -1'
_symmetry_Int_Tables_number 2
_symmetry_space_group_name_Hall '-P 1'
_cell_length_a 6.462
_cell_length_b 6.723
_cell_length_c 8.705
_cell_angle_alpha 101.36
_cell_angle_beta 97.02
_cell_angle_gamma 96.75
loop_
_atom_site_label
_atom_site_type_symbol
_atom_site_fract_x
_atom_site_fract_y
_atom_site_fract_z
Tb1 Tb 0.000 0.000 0.000
Y1 Y 0.000 0.500 0.000
Y2 Y 0.069 0.215 0.644
Y3 Y 0.206 0.732 0.705
Y4 Y 0.492 0.232 0.924
Th1 Th 0.325 0.446 0.337
Th2 Th 0.500 0.000 0.500
```

Largest 10 diffraction maxima, low angle first, 10 to 80 degrees two-theta:
2θ (°), I (rel.), h k l
16.18, 19, 1 0 -1
27.53, 18, 0 1 2
29.47, 15, 2 -1 0
30.87, 18, 0 2 -2
31.58, 16, 2 0 1
31.78, 100, 1 2 -1
32.13, 44, -1 2 1
32.68, 40, 2 0 -2
33.32, 22, 1 1 2
33.67, 17, 1 -2 2

***

Repeat the third record exactly.
Calculated powder XRD pattern
Compound: TbY3Th5
Radiation: Cu Kα, 1.54184 Å
Structure: a structure optimized by DFT (PBE)

Crystal structure
```
data_TbY3Th5
_chemical_formula_sum 'Tb4 Y12 Th20'
_symmetry_space_group_name_H-M 'I 4/m c m'
_symmetry_Int_Tables_number 140
_symmetry_space_group_name_Hall '-I 4 2c'
_cell_length_a 9.235
_cell_length_b 9.235
_cell_length_c 14.227
_cell_angle_alpha 90.00
_cell_angle_beta 90.00
_cell_angle_gamma 90.00
loop_
_atom_site_label
_atom_site_type_symbol
_atom_site_fract_x
_atom_site_fract_y
_atom_site_fract_z
Tb1 Tb 0.000 0.500 0.250
Y1 Y 0.000 0.000 0.250
Y2 Y 0.104 0.396 0.000
Th1 Th 0.000 0.000 0.000
Th2 Th 0.208 0.292 0.373
```

Largest 10 diffraction maxima, low angle first, 10 to 80 degrees two-theta:
2θ (°), I (rel.), h k l
27.31, 58, 2 2 0
28.66, 29, 2 1 3
31.76, 100, 2 0 4
33.16, 12, 3 1 2
35.61, 13, 3 2 1
38.42, 11, 2 1 5
40.78, 21, 4 1 1
44.75, 12, 4 1 3
51.15, 21, 4 2 4
59.16, 14, 2 2 8

***

Copy entry 1 word for word.
Calculated powder XRD pattern
Compound: Tb6YTh4
Radiation: Cu Kα, 1.54184 Å
Structure: a structure optimized by DFT (PBE)

Crystal structure
```
data_Tb6YTh4
_chemical_formula_sum 'Tb12 Y2 Th8'
_symmetry_space_group_name_H-M 'I m m m'
_symmetry_Int_Tables_number 71
_symmetry_space_group_name_Hall '-I 2 2'
_cell_length_a 3.441
_cell_length_b 5.865
_cell_length_c 35.761
_cell_angle_alpha 90.00
_cell_angle_beta 90.00
_cell_angle_gamma 90.00
loop_
_atom_site_label
_atom_site_type_symbol
_atom_site_fract_x
_atom_site_fract_y
_atom_site_fract_z
Tb1 Tb 0.000 0.000 0.096
Tb2 Tb 0.000 0.000 0.267
Tb3 Tb 0.000 0.000 0.369
Y1 Y 0.000 0.500 0.500
Th1 Th 0.000 0.500 0.044
Th2 Th 0.000 0.500 0.318
```

Largest 10 diffraction maxima, low angle first, 10 to 80 degrees two-theta:
2θ (°), I (rel.), h k l
16.85, 16, 0 1 3
26.97, 35, 1 0 3
28.79, 17, 1 0 5
30.49, 68, 0 2 0
31.46, 100, 0 1 11
33.74, 38, 1 1 6
36.34, 50, 1 1 8
41.15, 24, 1 2 3
54.79, 21, 0 3 11
63.17, 28, 2 1 11